For TlAg5Se4, a crystal structure in Alexandria, relaxed with GGA-PBE gives the simulated XRD peak list in this record (Cu Ka).
Neutral-atom scattering factors, no anomalous dispersion.

Principal peaks in the range 2θ = 10–80°, in order of rising 2θ:
Position (°2θ)  I/Imax
11.23  48.3
11.40  19.9
15.08  28.3
32.11  100.0
34.25  25.2
36.70  50.1
36.90  49.4
39.42  35.1
41.10  24.9
45.86  30.5

```
data_TlAg5Se4
_chemical_formula_sum 'Tl1 Ag5 Se4'
_space_group_name_H-M_alt 'P 1'
_space_group_IT_number 1
_cell_length_a 3.957
_cell_length_b 7.931
_cell_length_c 8.047
_cell_angle_alpha 96.38
_cell_angle_beta 103.92
_cell_angle_gamma 90.08
loop_
_space_group_symop_operation_xyz
'x,y,z'
loop_
_atom_site_label
_atom_site_type_symbol
_atom_site_fract_x
_atom_site_fract_y
_atom_site_fract_z
_atom_site_occupancy
Tl1 Tl 0.000 0.000 0.000 1
Ag1 Ag 0.000 0.500 0.000 1
Ag2 Ag 0.197 0.587 0.390 1
Ag3 Ag 0.393 0.672 0.787 1
Ag4 Ag 0.607 0.328 0.213 1
Ag5 Ag 0.803 0.413 0.610 1
Se1 Se 0.201 0.229 0.405 1
Se2 Se 0.432 0.293 0.862 1
Se3 Se 0.568 0.707 0.138 1
Se4 Se 0.799 0.771 0.595 1
```


For Zn24Cu5, a crystal structure in Alexandria, relaxed with GGA-PBE gives the simulated XRD peak list in this record (Cu Ka).
Neutral-atom scattering factors, no anomalous dispersion.

Principal peaks in the range 2θ = 10–80°, in order of rising 2θ:
Position (°2θ)  I/Imax
38.09  17.3
40.50  100.0
45.00  38.2
47.12  12.9
49.17  21.8
70.47  10.6
73.67  19.2
75.26  8.2
76.83  7.6
79.94  5.8

```
data_Zn24Cu5
_chemical_formula_sum 'Zn24 Cu5'
_space_group_name_H-M_alt 'P 1'
_space_group_IT_number 1
_cell_length_a 8.183
_cell_length_b 8.183
_cell_length_c 8.183
_cell_angle_alpha 109.47
_cell_angle_beta 109.47
_cell_angle_gamma 109.47
loop_
_space_group_symop_operation_xyz
'x,y,z'
loop_
_atom_site_label
_atom_site_type_symbol
_atom_site_fract_x
_atom_site_fract_y
_atom_site_fract_z
_atom_site_occupancy
Zn1 Zn 0.000 0.189 0.376 1
Zn2 Zn 0.000 0.376 0.189 1
Zn3 Zn 0.000 0.418 0.692 1
Zn4 Zn 0.000 0.692 0.418 1
Zn5 Zn 0.187 0.811 0.811 1
Zn6 Zn 0.189 0.000 0.376 1
Zn7 Zn 0.189 0.376 0.000 1
Zn8 Zn 0.274 0.582 0.582 1
Zn9 Zn 0.308 0.308 0.726 1
Zn10 Zn 0.308 0.726 0.308 1
Zn11 Zn 0.376 0.000 0.189 1
Zn12 Zn 0.376 0.189 0.000 1
Zn13 Zn 0.418 0.000 0.692 1
Zn14 Zn 0.418 0.692 0.000 1
Zn15 Zn 0.582 0.274 0.582 1
Zn16 Zn 0.582 0.582 0.274 1
Zn17 Zn 0.624 0.624 0.813 1
Zn18 Zn 0.624 0.813 0.624 1
Zn19 Zn 0.692 0.000 0.418 1
Zn20 Zn 0.692 0.418 0.000 1
Zn21 Zn 0.726 0.308 0.308 1
Zn22 Zn 0.811 0.187 0.811 1
Zn23 Zn 0.811 0.811 0.187 1
Zn24 Zn 0.813 0.624 0.624 1
Cu1 Cu 0.000 0.000 0.000 1
Cu2 Cu 0.000 0.000 0.672 1
Cu3 Cu 0.000 0.672 0.000 1
Cu4 Cu 0.328 0.328 0.328 1
Cu5 Cu 0.672 0.000 0.000 1
```


For Ac3La4Pr4, a crystal structure in Alexandria, relaxed with GGA-PBE gives the simulated XRD peak list in this record (Cu Ka).
Neutral-atom scattering factors, no anomalous dispersion.

Principal peaks in the range 2θ = 10–80°, in order of rising 2θ:
Position (°2θ)  I/Imax
28.93  47.1
29.59  100.0
29.78  51.3
29.94  97.7
42.00  34.8
43.19  18.5
52.74  20.3
52.96  20.1
53.34  20.0
57.93  31.2

```
data_Ac3La4Pr4
_chemical_formula_sum 'Ac3 La4 Pr4'
_space_group_name_H-M_alt 'P 1'
_space_group_IT_number 1
_cell_length_a 3.760
_cell_length_b 5.999
_cell_length_c 19.245
_cell_angle_alpha 98.93
_cell_angle_beta 95.57
_cell_angle_gamma 90.01
loop_
_space_group_symop_operation_xyz
'x,y,z'
loop_
_atom_site_label
_atom_site_type_symbol
_atom_site_fract_x
_atom_site_fract_y
_atom_site_fract_z
_atom_site_occupancy
Ac1 Ac 0.000 0.000 0.000 1
Ac2 Ac 0.137 0.637 0.275 1
Ac3 Ac 0.863 0.363 0.725 1
La1 La 0.266 0.266 0.532 1
La2 La 0.408 0.908 0.816 1
La3 La 0.592 0.092 0.184 1
La4 La 0.734 0.734 0.468 1
Pr1 Pr 0.318 0.817 0.635 1
Pr2 Pr 0.455 0.454 0.909 1
Pr3 Pr 0.545 0.546 0.091 1
Pr4 Pr 0.682 0.183 0.365 1
```


For RbCeTm4S8, a crystal structure in Alexandria, relaxed with GGA-PBE gives the simulated XRD peak list in this record (Cu Ka).
Neutral-atom scattering factors, no anomalous dispersion.

Principal peaks in the range 2θ = 10–80°, in order of rising 2θ:
Position (°2θ)  I/Imax
21.31  28.1
24.96  47.0
25.39  100.0
25.61  56.9
30.68  53.3
39.80  29.0
40.23  36.6
40.51  31.0
43.40  61.6
44.46  59.4

```
data_RbCeTm4S8
_chemical_formula_sum 'Rb1 Ce1 Tm4 S8'
_space_group_name_H-M_alt 'P 1'
_space_group_IT_number 1
_cell_length_a 8.344
_cell_length_b 8.344
_cell_length_c 8.344
_cell_angle_alpha 58.47
_cell_angle_beta 58.47
_cell_angle_gamma 58.47
loop_
_space_group_symop_operation_xyz
'x,y,z'
loop_
_atom_site_label
_atom_site_type_symbol
_atom_site_fract_x
_atom_site_fract_y
_atom_site_fract_z
_atom_site_occupancy
Rb1 Rb 0.000 0.000 0.000 1
Ce1 Ce 0.365 0.365 0.365 1
Tm1 Tm 0.365 0.365 0.883 1
Tm2 Tm 0.365 0.883 0.365 1
Tm3 Tm 0.745 0.745 0.745 1
Tm4 Tm 0.883 0.365 0.365 1
S1 S 0.132 0.132 0.564 1
S2 S 0.132 0.564 0.132 1
S3 S 0.138 0.619 0.619 1
S4 S 0.141 0.141 0.141 1
S5 S 0.564 0.132 0.132 1
S6 S 0.613 0.613 0.613 1
S7 S 0.619 0.138 0.619 1
S8 S 0.619 0.619 0.138 1
```


For TlCd12Hg3, a crystal structure in Alexandria, relaxed with GGA-PBE gives the simulated XRD peak list in this record (Cu Ka).
Neutral-atom scattering factors, no anomalous dispersion.

Principal peaks in the range 2θ = 10–80°, in order of rising 2θ:
Position (°2θ)  I/Imax
16.32  7.9
32.98  65.2
36.20  100.0
47.33  23.5
56.64  6.4
61.01  42.5
67.12  15.3
69.17  7.4
76.84  10.4
78.79  10.3

```
data_TlCd12Hg3
_chemical_formula_sum 'Tl1 Cd12 Hg3'
_space_group_name_H-M_alt 'P 1'
_space_group_IT_number 1
_cell_length_a 5.432
_cell_length_b 5.432
_cell_length_c 13.000
_cell_angle_alpha 90.00
_cell_angle_beta 90.00
_cell_angle_gamma 90.00
loop_
_space_group_symop_operation_xyz
'x,y,z'
loop_
_atom_site_label
_atom_site_type_symbol
_atom_site_fract_x
_atom_site_fract_y
_atom_site_fract_z
_atom_site_occupancy
Tl1 Tl 0.000 0.000 0.000 1
Cd1 Cd 0.000 0.500 0.133 1
Cd2 Cd 0.000 0.500 0.378 1
Cd3 Cd 0.000 0.500 0.622 1
Cd4 Cd 0.000 0.500 0.867 1
Cd5 Cd 0.500 0.000 0.133 1
Cd6 Cd 0.500 0.000 0.378 1
Cd7 Cd 0.500 0.000 0.622 1
Cd8 Cd 0.500 0.000 0.867 1
Cd9 Cd 0.500 0.500 0.000 1
Cd10 Cd 0.500 0.500 0.255 1
Cd11 Cd 0.500 0.500 0.500 1
Cd12 Cd 0.500 0.500 0.745 1
Hg1 Hg 0.000 0.000 0.254 1
Hg2 Hg 0.000 0.000 0.500 1
Hg3 Hg 0.000 0.000 0.746 1
```


For K2BaUF8, a crystal structure in Alexandria, relaxed with GGA-PBE gives the simulated XRD peak list in this record (Cu Ka).
Neutral-atom scattering factors, no anomalous dispersion.

Principal peaks in the range 2θ = 10–80°, in order of rising 2θ:
Position (°2θ)  I/Imax
16.36  73.0
25.55  100.0
26.85  15.9
29.34  15.0
33.77  17.5
40.19  15.5
41.97  22.1
42.52  43.1
49.78  31.5
50.73  14.9

```
data_K2BaUF8
_chemical_formula_sum 'K2 Ba1 U1 F8'
_space_group_name_H-M_alt 'P 1'
_space_group_IT_number 1
_cell_length_a 7.338
_cell_length_b 7.338
_cell_length_c 7.338
_cell_angle_alpha 130.98
_cell_angle_beta 130.98
_cell_angle_gamma 71.85
loop_
_space_group_symop_operation_xyz
'x,y,z'
loop_
_atom_site_label
_atom_site_type_symbol
_atom_site_fract_x
_atom_site_fract_y
_atom_site_fract_z
_atom_site_occupancy
K1 K 0.000 0.000 0.000 1
K2 K 0.750 0.250 0.500 1
Ba1 Ba 0.500 0.500 0.000 1
U1 U 0.250 0.750 0.500 1
F1 F 0.147 0.085 0.506 1
F2 F 0.147 0.641 0.061 1
F3 F 0.359 0.420 0.506 1
F4 F 0.359 0.853 0.939 1
F5 F 0.580 0.085 0.939 1
F6 F 0.580 0.641 0.494 1
F7 F 0.915 0.420 0.061 1
F8 F 0.915 0.853 0.494 1
```